Theoretical powder diffractogram
Compound: Nb7B4C4
Radiation: Cu Kα (λ = 1.5418 Å)
Structure: DFT lattice parameters and positions (PBE)
Lines closer than 0.1° are merged.

Peak list (12 most intense, 2θ = 15–90°, in order of rising 2θ)
2theta	I_rel
27.7	14.2
33.7	50.0
34.3	100.0
37.2	25.5
38.7	38.8
39.9	51.4
40.3	23.2
41.5	19.5
56.8	42.6
58.5	16.1
61.2	22.6
68.1	27.1

Cell: 16.4550 16.4550 16.4550 Å, 168.99 168.71 15.80°
Element x y z (fractional)
Nb (0.0000, 0.0000, 0.0000)
Nb (0.0817, 0.5817, 0.5000)
Nb (0.2143, 0.7143, 0.5000)
Nb (0.3521, 0.8521, 0.5000)
Nb (0.6479, 0.1479, 0.5000)
Nb (0.7857, 0.2857, 0.5000)
Nb (0.9183, 0.4183, 0.5000)
B (0.4432, 0.9432, 0.5000)
B (0.4716, 0.4716, 0.0000)
B (0.5284, 0.5284, 0.0000)
B (0.5568, 0.0568, 0.5000)
C (0.1472, 0.6472, 0.5000)
C (0.2847, 0.7847, 0.5000)
C (0.7153, 0.2153, 0.5000)
C (0.8528, 0.3528, 0.5000)